Record 1
For KSbPt, DFT lattice parameters and positions (GGA-PBE) gives the calculated powder X-ray diffraction pattern in this record (CuKα).
Kinematic intensities with the Lorentz-polarization factor, no thermal factor.

Atomic structure:
```
data_KSbPt
_chemical_formula_sum 'K2 Sb2 Pt2'
_cell_length_a 4.5933
_cell_length_b 6.4922
_cell_length_c 6.9848
_cell_angle_alpha 112.18
_cell_angle_beta 109.05
_cell_angle_gamma 90.28
_space_group_name_H-M_alt 'P -1'
_space_group_IT_number 2
_space_group_name_Hall '-P 1'
loop_
_atom_site_label
_atom_site_type_symbol
_atom_site_fract_x
_atom_site_fract_y
_atom_site_fract_z
_atom_site_occupancy
K1 K 0.1200 0.2932 0.2429 1
Sb1 Sb 0.3970 0.2372 0.7937 1
Pt1 Pt 0.2024 0.8669 0.4052 1
```

The 10 most intense peaks (2θ = 10–90°), low angle first:
| 2theta | Rel. int. | index |
| --- | --- | --- |
| 14.65 | 28 | 0 0 1 |
| 14.90 | 28 | 0 1 0 |
| 16.18 | 100 | 0 1 -1 |
| 29.49 | 14 | 1 0 1 |
| 32.69 | 24 | 0 2 -2 |
| 37.14 | 40 | 1 1 1 |
| 39.21 | 31 | 2 0 -1 |
| 39.30 | 12 | 1 2 0 |
| 42.23 | 25 | 1 0 -3 |
| 52.79 | 16 | 1 -1 3 |



Record 2
For Ca3Zn7Cu2, DFT lattice parameters and positions (GGA-PBE) gives the calculated powder X-ray diffraction pattern in this record (CuKα).
Kinematic intensities with the Lorentz-polarization factor, no thermal factor.

Atomic structure:
```
data_Ca3Zn7Cu2
_chemical_formula_sum 'Ca9 Zn21 Cu6'
_cell_length_a 5.4380
_cell_length_b 5.4380
_cell_length_c 25.9648
_cell_angle_alpha 90.00
_cell_angle_beta 90.00
_cell_angle_gamma 120.00
_space_group_name_H-M_alt 'R -3 m'
_space_group_IT_number 166
_space_group_name_Hall '-R 3 2"'
loop_
_atom_site_label
_atom_site_type_symbol
_atom_site_fract_x
_atom_site_fract_y
_atom_site_fract_z
_atom_site_occupancy
Ca1 Ca 0.0000 0.0000 0.0000 1
Ca2 Ca 0.0000 0.0000 0.1432 1
Zn1 Zn 0.0000 0.0000 0.5000 1
Zn2 Zn 0.0027 0.5013 0.9207 1
Cu1 Cu 0.0000 0.0000 0.3340 1
```

The 10 most intense peaks (2θ = 10–90°), low angle first:
| 2theta | Rel. int. | index |
| --- | --- | --- |
| 19.15 | 43 | 1 0 1 |
| 38.38 | 29 | 0 2 1 |
| 38.87 | 17 | 2 0 2 |
| 39.13 | 100 | 1 1 6 |
| 41.75 | 29 | 0 0 12 |
| 42.14 | 42 | 2 0 5 |
| 45.63 | 29 | 0 2 7 |
| 62.99 | 22 | 3 0 6 |
| 69.09 | 25 | 2 2 0 |
| 84.09 | 20 | 2 2 12 |



Record 3
For ZnHg2F, DFT lattice parameters and positions (GGA-PBE) gives the calculated powder X-ray diffraction pattern in this record (CuKα).
Kinematic intensities with the Lorentz-polarization factor, no thermal factor.

Atomic structure:
```
data_ZnHg2F
_chemical_formula_sum 'Zn4 Hg8 F4'
_cell_length_a 7.3784
_cell_length_b 7.3784
_cell_length_c 5.9616
_cell_angle_alpha 90.00
_cell_angle_beta 90.00
_cell_angle_gamma 90.00
_space_group_name_H-M_alt 'I -4 2 d'
_space_group_IT_number 122
_space_group_name_Hall 'I -4 2bw'
loop_
_atom_site_label
_atom_site_type_symbol
_atom_site_fract_x
_atom_site_fract_y
_atom_site_fract_z
_atom_site_occupancy
Zn1 Zn 0.0000 0.0000 0.0000 1
Hg1 Hg 0.2414 0.2500 0.6250 1
F1 F 0.0000 0.0000 0.5000 1
```

The 10 most intense peaks (2θ = 10–90°), low angle first:
| 2theta | Rel. int. | index |
| --- | --- | --- |
| 24.12 | 69 | 2 0 0 |
| 34.38 | 73 | 2 2 0 |
| 34.66 | 100 | 1 1 2 |
| 49.41 | 26 | 4 0 0 |
| 49.62 | 73 | 3 1 2 |
| 61.76 | 19 | 3 3 2 |
| 67.82 | 20 | 2 0 4 |
| 72.63 | 23 | 5 1 2 |
| 82.88 | 17 | 5 3 2 |
| 88.38 | 20 | 4 2 4 |



Record 4
For CdSi2, DFT lattice parameters and positions (GGA-PBE) gives the calculated powder X-ray diffraction pattern in this record (CuKα).
Kinematic intensities with the Lorentz-polarization factor, no thermal factor.

Atomic structure:
```
data_CdSi2
_chemical_formula_sum 'Cd4 Si8'
_cell_length_a 5.0936
_cell_length_b 5.1414
_cell_length_c 8.8700
_cell_angle_alpha 90.00
_cell_angle_beta 90.00
_cell_angle_gamma 90.00
_space_group_name_H-M_alt 'I m m a'
_space_group_IT_number 74
_space_group_name_Hall '-I 2b 2'
loop_
_atom_site_label
_atom_site_type_symbol
_atom_site_fract_x
_atom_site_fract_y
_atom_site_fract_z
_atom_site_occupancy
Cd1 Cd 0.0000 0.2500 0.1096 1
Si1 Si 0.0000 0.2500 0.4348 1
Si2 Si 0.0000 0.2500 0.7051 1
```

The 10 most intense peaks (2θ = 10–90°), low angle first:
| 2theta | Rel. int. | index |
| --- | --- | --- |
| 19.96 | 46 | 0 1 1 |
| 20.10 | 38 | 1 0 1 |
| 31.92 | 100 | 1 1 2 |
| 34.90 | 51 | 0 2 0 |
| 35.02 | 80 | 0 1 3 |
| 35.24 | 49 | 2 0 0 |
| 50.49 | 83 | 2 2 0 |
| 66.63 | 18 | 1 2 5 |
| 73.97 | 18 | 2 3 3 |
| 85.04 | 18 | 4 2 0 |



Record 5
For HfZn8Cu4, DFT lattice parameters and positions (GGA-PBE) gives the calculated powder X-ray diffraction pattern in this record (CuKα).
Kinematic intensities with the Lorentz-polarization factor, no thermal factor.

Atomic structure:
```
data_HfZn8Cu4
_chemical_formula_sum 'Hf2 Zn16 Cu8'
_cell_length_a 8.6810
_cell_length_b 8.6810
_cell_length_c 4.9068
_cell_angle_alpha 90.00
_cell_angle_beta 90.00
_cell_angle_gamma 90.00
_space_group_name_H-M_alt 'I 4/m m m'
_space_group_IT_number 139
_space_group_name_Hall '-I 4 2'
loop_
_atom_site_label
_atom_site_type_symbol
_atom_site_fract_x
_atom_site_fract_y
_atom_site_fract_z
_atom_site_occupancy
Hf1 Hf 0.0000 0.0000 0.0000 1
Zn1 Zn 0.0000 0.2128 0.5000 1
Zn2 Zn 0.0000 0.3438 0.0000 1
Cu1 Cu 0.2500 0.2500 0.2500 1
```

The 10 most intense peaks (2θ = 10–90°), low angle first:
| 2theta | Rel. int. | index |
| --- | --- | --- |
| 29.34 | 21 | 2 1 1 |
| 36.03 | 55 | 3 0 1 |
| 36.63 | 17 | 0 0 2 |
| 41.61 | 57 | 4 0 0 |
| 41.79 | 100 | 3 2 1 |
| 42.32 | 64 | 2 0 2 |
| 47.44 | 31 | 2 2 2 |
| 69.47 | 21 | 3 2 3 |
| 76.06 | 22 | 6 3 1 |
| 76.43 | 24 | 6 0 2 |



Record 6
For In2Ag5Hg, DFT lattice parameters and positions (GGA-PBE) gives the calculated powder X-ray diffraction pattern in this record (CuKα).
Kinematic intensities with the Lorentz-polarization factor, no thermal factor.

Atomic structure:
```
data_In2Ag5Hg
_chemical_formula_sum 'In8 Ag20 Hg4'
_cell_length_a 9.7795
_cell_length_b 10.4457
_cell_length_c 6.2508
_cell_angle_alpha 90.00
_cell_angle_beta 90.00
_cell_angle_gamma 90.00
_space_group_name_H-M_alt 'P b a m'
_space_group_IT_number 55
_space_group_name_Hall '-P 2 2ab'
loop_
_atom_site_label
_atom_site_type_symbol
_atom_site_fract_x
_atom_site_fract_y
_atom_site_fract_z
_atom_site_occupancy
In1 In 0.0000 0.0000 0.2470 1
In2 In 0.2323 0.4032 0.5000 1
Ag1 Ag 0.0000 0.5000 0.2523 1
Ag2 Ag 0.0102 0.7517 0.0000 1
Ag3 Ag 0.0108 0.7542 0.5000 1
Ag4 Ag 0.2484 0.1589 0.2519 1
Hg1 Hg 0.2338 0.4051 0.0000 1
```

The 10 most intense peaks (2θ = 10–90°), low angle first:
| 2theta | Rel. int. | index |
| --- | --- | --- |
| 34.68 | 76 | 1 2 2 |
| 35.58 | 22 | 1 4 0 |
| 36.76 | 60 | 4 0 0 |
| 38.28 | 100 | 2 2 2 |
| 39.11 | 75 | 2 4 0 |
| 43.71 | 37 | 3 2 2 |
| 60.91 | 26 | 0 6 2 |
| 67.21 | 16 | 6 2 2 |
| 73.17 | 27 | 2 4 4 |
| 73.30 | 27 | 4 6 2 |



Number 1 is which compound? KSbPt